Record 1
Diffraction record for CeAs. The powder diffractogram is simulated, not measured: it uses a cell relaxed with PBE and Cu Kα, 1.54184 Å.
Intensities are scaled so that the largest is 100.

Atomic structure:
Cell: 5.976 5.976 5.976 Å, 90.00 90.00 90.00°
Space group Fm-3m (No. 225)
Symmetry-distinct sites (fractional):
1 Ce 0.000 0.000 0.000 (multiplicity 4)
2 As 0.000 0.000 0.500 (multiplicity 4)

The 8 most intense peaks (2θ from 15° to 90°), in order of falling intensity:
- 29.9°, rel. 100
- 42.8°, rel. 75
- 70.5°, rel. 34
- 53.1°, rel. 26
- 78.4°, rel. 25
- 25.8°, rel. 16
- 62.1°, rel. 12
- 50.7°, rel. 8


Record 2
Diffraction record for CeAs3. The powder diffractogram is simulated, not measured: it uses a cell relaxed with PBE and Cu Kα, 1.54184 Å.
Intensities are scaled so that the largest is 100.

Atomic structure:
Cell: 4.363 4.363 4.363 Å, 90.00 90.00 90.00°
Space group Pm-3m (No. 221)
Symmetry-distinct sites (fractional):
1 Ce 0.000 0.000 0.000 (multiplicity 1)
2 As 0.000 0.500 0.500 (multiplicity 3)

The 8 most intense peaks (2θ from 15° to 90°), in order of falling intensity:
- 35.6°, rel. 100
- 41.4°, rel. 49
- 71.8°, rel. 38
- 60.0°, rel. 33
- 75.5°, rel. 11
- 20.4°, rel. 8
- 28.9°, rel. 7
- 90.0°, rel. 5


Record 3
Diffraction record for Ce3As2ClO7. The powder diffractogram is simulated, not measured: it uses a cell relaxed with PBE and Cu Kα, 1.54184 Å.
Intensities are scaled so that the largest is 100.

Atomic structure:
Cell: 12.917 12.917 5.621 Å, 90.00 90.00 90.00°
Space group P4_2nm (No. 102)
Symmetry-distinct sites (fractional):
1 Ce 0.053 0.364 0.000 (multiplicity 8)
2 Ce 0.228 0.772 0.972 (multiplicity 4)
3 As 0.018 0.794 0.469 (multiplicity 8)
4 Cl 0.165 0.165 0.934 (multiplicity 4)
5 O 0.000 0.500 0.243 (multiplicity 4)
6 O 0.077 0.725 0.717 (multiplicity 8)
7 O 0.090 0.723 0.240 (multiplicity 8)
8 O 0.093 0.288 0.430 (multiplicity 8)

The 8 most intense peaks (2θ from 15° to 90°), in order of falling intensity:
- 27.0°, rel. 100
- 29.6°, rel. 87
- 32.7°, rel. 41
- 31.8°, rel. 37
- 37.5°, rel. 32
- 45.0°, rel. 29
- 50.0°, rel. 27
- 52.7°, rel. 24